(1)
# Ce2MnSi4Pd3
Computed powder X-ray diffraction pattern, Cu Kα (λ = 1.5418 Å). Input: a crystal structure in the Materials Project, relaxed with PBE.
Neutral-atom scattering factors, no anomalous dispersion.

Atomic structure:
```
data_Ce2MnSi4Pd3
_chemical_formula_sum 'Ce2 Mn1 Si4 Pd3'
_space_group_name_H-M_alt 'P -4 m 2'
_space_group_IT_number 115
_space_group_name_Hall 'P -4 -2'
_cell_length_a 4.1438
_cell_length_b 4.1438
_cell_length_c 10.2104
_cell_angle_alpha 90.00
_cell_angle_beta 90.00
_cell_angle_gamma 90.00
loop_
_atom_site_label
_atom_site_type_symbol
_atom_site_fract_x
_atom_site_fract_y
_atom_site_fract_z
Ce1 Ce 0.0000 0.5000 0.2484
Mn1 Mn 0.5000 0.5000 0.0000
Si1 Si 0.0000 0.5000 0.6329
Si2 Si 0.0000 0.5000 0.8651
Pd1 Pd 0.0000 0.0000 0.0000
Pd2 Pd 0.0000 0.0000 0.5000
Pd3 Pd 0.5000 0.5000 0.5000
```

Top 10 peaks for 10° ≤ 2θ ≤ 90°, low angle first:
2θ = 23.2°, d = 3.840 Å, I = 25, hkl 1 0 1
2θ = 34.1°, d = 2.630 Å, I = 30, hkl 1 0 3
2θ = 35.2°, d = 2.553 Å, I = 17, hkl 0 0 4
2θ = 35.3°, d = 2.541 Å, I = 100, hkl 1 1 2
2θ = 43.7°, d = 2.072 Å, I = 36, hkl 2 0 0
2θ = 49.8°, d = 1.832 Å, I = 12, hkl 1 0 5
2θ = 56.5°, d = 1.628 Å, I = 14, hkl 2 1 3
2θ = 57.3°, d = 1.609 Å, I = 16, hkl 2 0 4
2θ = 63.2°, d = 1.472 Å, I = 15, hkl 1 1 6
2θ = 74.8°, d = 1.270 Å, I = 29, hkl 3 1 2

(2)
# Sr6MgTe8O22
Computed powder X-ray diffraction pattern, Cu Kα (λ = 1.5418 Å). Input: a crystal structure in the Materials Project, relaxed with PBE.
Neutral-atom scattering factors, no anomalous dispersion.

Atomic structure:
```
data_Sr6MgTe8O22
_chemical_formula_sum 'Sr6 Mg1 Te8 O22'
_space_group_name_H-M_alt 'P 1'
_space_group_IT_number 1
_space_group_name_Hall 'P 1'
_cell_length_a 7.6806
_cell_length_b 9.4788
_cell_length_c 9.9689
_cell_angle_alpha 98.09
_cell_angle_beta 110.04
_cell_angle_gamma 101.34
loop_
_atom_site_label
_atom_site_type_symbol
_atom_site_fract_x
_atom_site_fract_y
_atom_site_fract_z
Sr1 Sr 0.0000 0.0000 0.0000
Sr2 Sr 0.0255 0.4799 0.4942
Sr3 Sr 0.2030 0.5595 0.9278
Sr4 Sr 0.4565 0.4668 0.2934
Sr5 Sr 0.6029 0.5393 0.7212
Sr6 Sr 0.6573 0.0918 0.2394
Mg1 Mg 0.2857 0.8198 0.1853
Te1 Te 0.2442 0.1487 0.4064
Te2 Te 0.3011 0.2415 0.8367
Te3 Te 0.3694 0.8046 0.4831
Te4 Te 0.3960 0.8635 0.8423
Te5 Te 0.7809 0.1986 0.6563
Te6 Te 0.8187 0.3468 0.0672
Te7 Te 0.8349 0.7327 0.1863
Te8 Te 0.8757 0.8045 0.6027
O1 O 0.0010 0.7338 0.0786
O2 O 0.0063 0.7183 0.3728
O3 O 0.0089 0.1290 0.7646
O4 O 0.1284 0.2770 0.2997
O5 O 0.1554 0.7181 0.7298
O6 O 0.2613 0.3898 0.7296
O7 O 0.2775 0.3185 0.0121
O8 O 0.3149 0.0470 0.2594
O9 O 0.3317 0.9134 0.0133
O10 O 0.3541 0.6007 0.4933
O11 O 0.4003 0.6586 0.1773
O12 O 0.4879 0.2876 0.5104
O13 O 0.5250 0.7205 0.9011
O14 O 0.6004 0.3840 0.9258
O15 O 0.6469 0.8740 0.4950
O16 O 0.7396 0.3633 0.2286
O17 O 0.7469 0.1386 0.0101
O18 O 0.7622 0.5985 0.5246
O19 O 0.8189 0.8068 0.7726
O20 O 0.8490 0.2216 0.4956
O21 O 0.8705 0.3954 0.7667
O22 O 0.8742 0.9402 0.2179
```

Top 10 peaks for 10° ≤ 2θ ≤ 90°, low angle first:
2θ = 18.8°, d = 4.732 Å, I = 42, hkl 1 0 -2
2θ = 25.6°, d = 3.480 Å, I = 34, hkl 2 0 0
2θ = 27.2°, d = 3.284 Å, I = 100, hkl 1 0 2
2θ = 27.3°, d = 3.262 Å, I = 70, hkl 2 1 -1
2θ = 27.8°, d = 3.213 Å, I = 66, hkl 1 1 -3
2θ = 27.9°, d = 3.196 Å, I = 91, hkl 2 -2 0
2θ = 28.0°, d = 3.184 Å, I = 87, hkl -1 2 2
2θ = 29.0°, d = 3.080 Å, I = 84, hkl 0 3 -1
2θ = 39.9°, d = 2.259 Å, I = 30, hkl 1 3 1
2θ = 40.4°, d = 2.234 Å, I = 27, hkl 1 -3 3

(3)
# MnCo3
Computed powder X-ray diffraction pattern, Cu Kα (λ = 1.5418 Å). Input: a crystal structure in the Materials Project, relaxed with PBE.
Neutral-atom scattering factors, no anomalous dispersion.

Atomic structure:
```
data_MnCo3
_chemical_formula_sum 'Mn1 Co3'
_space_group_name_H-M_alt 'P m -3 m'
_space_group_IT_number 221
_space_group_name_Hall '-P 4 2 3'
_cell_length_a 3.5021
_cell_length_b 3.5021
_cell_length_c 3.5021
_cell_angle_alpha 90.00
_cell_angle_beta 90.00
_cell_angle_gamma 90.00
loop_
_atom_site_label
_atom_site_type_symbol
_atom_site_fract_x
_atom_site_fract_y
_atom_site_fract_z
Mn1 Mn 0.0000 0.0000 0.0000
Co1 Co 0.0000 0.5000 0.5000
```

Top 3 peaks for 10° ≤ 2θ ≤ 90°, low angle first:
2θ = 44.8°, d = 2.022 Å, I = 100, hkl 1 1 1
2θ = 52.2°, d = 1.751 Å, I = 46, hkl 2 0 0
2θ = 77.0°, d = 1.238 Å, I = 26, hkl 2 2 0

(4)
# YPd2O4
Computed powder X-ray diffraction pattern, Cu Kα (λ = 1.5418 Å). Input: a crystal structure in the Materials Project, relaxed with PBE.
Neutral-atom scattering factors, no anomalous dispersion.

Atomic structure:
```
data_YPd2O4
_chemical_formula_sum 'Y4 Pd8 O16'
_space_group_name_H-M_alt 'I 41/a'
_space_group_IT_number 88
_cell_length_a 5.8254
_cell_length_b 5.8254
_cell_length_c 10.1107
_cell_angle_alpha 90.00
_cell_angle_beta 90.00
_cell_angle_gamma 90.00
loop_
_space_group_symop_operation_xyz
'x,y,z'
'-x,-y,-z'
'-y+3/4,x+1/4,z+1/4'
'y+3/4,-x+1/4,-z+1/4'
'-x+1/2,-y,z+1/2'
'x+1/2,y,-z+1/2'
'y+3/4,-x+3/4,z+3/4'
'-y+3/4,x+3/4,-z+3/4'
'x+1/2,y+1/2,z+1/2'
'-x+1/2,-y+1/2,-z+1/2'
'-y+1/4,x+3/4,z+3/4'
'y+1/4,-x+3/4,-z+3/4'
'-x,-y+1/2,z'
'x,y+1/2,-z'
'y+1/4,-x+1/4,z+1/4'
'-y+1/4,x+1/4,-z+1/4'
loop_
_atom_site_label
_atom_site_type_symbol
_atom_site_fract_x
_atom_site_fract_y
_atom_site_fract_z
Y1 Y 0.0000 0.2500 0.1250
Pd1 Pd 0.0000 0.0000 0.5000
O1 O 0.1574 0.4395 0.3225
```

Top 10 peaks for 10° ≤ 2θ ≤ 90°, low angle first:
2θ = 17.6°, d = 5.048 Å, I = 9, hkl 1 0 1
2θ = 27.9°, d = 3.193 Å, I = 11, hkl 1 1 2
2θ = 30.6°, d = 2.917 Å, I = 33, hkl 1 0 3
2θ = 35.6°, d = 2.523 Å, I = 100, hkl 2 0 2
2θ = 47.6°, d = 1.910 Å, I = 19, hkl 1 0 5
2θ = 54.5°, d = 1.683 Å, I = 11, hkl 3 0 3
2θ = 57.8°, d = 1.596 Å, I = 35, hkl 2 2 4
2θ = 63.8°, d = 1.458 Å, I = 9, hkl 2 0 6
2θ = 75.2°, d = 1.263 Å, I = 8, hkl 0 0 8
2θ = 75.3°, d = 1.261 Å, I = 12, hkl 4 2 2

(5)
# MgTe4Mo2W2Se2S2
Computed powder X-ray diffraction pattern, Cu Kα (λ = 1.5418 Å). Input: a crystal structure in the Materials Project, relaxed with PBE.
Neutral-atom scattering factors, no anomalous dispersion.

Atomic structure:
```
data_MgTe4Mo2W2Se2S2
_chemical_formula_sum 'Mg1 Te4 Mo2 W2 Se2 S2'
_space_group_name_H-M_alt 'P 3 m 1'
_space_group_IT_number 156
_space_group_name_Hall 'P 3 -2"'
_cell_length_a 3.3900
_cell_length_b 3.3900
_cell_length_c 46.7755
_cell_angle_alpha 90.00
_cell_angle_beta 90.00
_cell_angle_gamma 120.00
loop_
_atom_site_label
_atom_site_type_symbol
_atom_site_fract_x
_atom_site_fract_y
_atom_site_fract_z
Mg1 Mg 0.0000 0.0000 0.0000
Te1 Te 0.3333 0.6667 0.0649
Te2 Te 0.3333 0.6667 0.1459
Te3 Te 0.3333 0.6667 0.6831
Te4 Te 0.3333 0.6667 0.7633
Mo1 Mo 0.3333 0.6667 0.5354
Mo2 Mo 0.6667 0.3333 0.7232
W1 W 0.3333 0.6667 0.9020
W2 W 0.6667 0.3333 0.1056
Se1 Se 0.6667 0.3333 0.5001
Se2 Se 0.6667 0.3333 0.5707
S1 S 0.6667 0.3333 0.8699
S2 S 0.6667 0.3333 0.9343
```

Top 10 peaks for 10° ≤ 2θ ≤ 90°, low angle first:
2θ = 11.4°, d = 7.796 Å, I = 47, hkl 0 0 6
2θ = 30.5°, d = 2.934 Å, I = 60, hkl 1 0 0
2θ = 32.0°, d = 2.801 Å, I = 30, hkl 0 1 5
2θ = 34.2°, d = 2.624 Å, I = 72, hkl 1 0 8
2θ = 37.2°, d = 2.416 Å, I = 27, hkl 1 0 11
2θ = 39.6°, d = 2.275 Å, I = 100, hkl 1 0 13
2θ = 40.9°, d = 2.205 Å, I = 21, hkl 1 0 14
2θ = 54.1°, d = 1.695 Å, I = 41, hkl 1 1 0
2θ = 55.1°, d = 1.668 Å, I = 21, hkl 1 1 5
2θ = 69.1°, d = 1.359 Å, I = 19, hkl 0 2 13

(6)
# Ho2MgSe4
Computed powder X-ray diffraction pattern, Cu Kα (λ = 1.5418 Å). Input: a crystal structure in the Materials Project, relaxed with PBE.
Neutral-atom scattering factors, no anomalous dispersion.

Atomic structure:
```
data_Ho2MgSe4
_chemical_formula_sum 'Ho8 Mg4 Se16'
_space_group_name_H-M_alt 'P n m a'
_space_group_IT_number 62
_space_group_name_Hall '-P 2ac 2n'
_cell_length_a 14.1017
_cell_length_b 8.2235
_cell_length_c 6.8229
_cell_angle_alpha 90.00
_cell_angle_beta 90.00
_cell_angle_gamma 90.00
loop_
_atom_site_label
_atom_site_type_symbol
_atom_site_fract_x
_atom_site_fract_y
_atom_site_fract_z
Ho1 Ho 0.0000 0.0000 0.0000
Ho2 Ho 0.2343 0.2500 0.4975
Mg1 Mg 0.0924 0.7500 0.5798
Se1 Se 0.0733 0.2500 0.2499
Se2 Se 0.0916 0.7500 0.2093
Se3 Se 0.1693 0.5055 0.7592
```

Top 10 peaks for 10° ≤ 2θ ≤ 90°, low angle first:
2θ = 14.4°, d = 6.142 Å, I = 47, hkl 1 0 1
2θ = 18.0°, d = 4.921 Å, I = 66, hkl 1 1 1
2θ = 23.0°, d = 3.871 Å, I = 29, hkl 3 0 1
2θ = 26.1°, d = 3.417 Å, I = 37, hkl 1 2 1
2θ = 28.3°, d = 3.151 Å, I = 58, hkl 2 2 1
2θ = 28.5°, d = 3.132 Å, I = 31, hkl 4 0 1
2θ = 36.5°, d = 2.460 Å, I = 100, hkl 2 2 2
2θ = 36.7°, d = 2.452 Å, I = 42, hkl 4 0 2
2θ = 44.0°, d = 2.056 Å, I = 29, hkl 0 4 0
2θ = 44.4°, d = 2.040 Å, I = 50, hkl 6 2 0